This entry pairs a crystal structure of TiZnBi with its calculated XRD peak list. Radiation: Cu Kα (λ = 1.5418 Å). Structure: a crystal structure in Alexandria, relaxed with PBE.
Lines closer than 0.1° are merged.

Peak list (10 most intense, 2θ from 5° to 70°, in order of falling intensity)
28.49°, rel. 100, (1 1 3)
42.65°, rel. 83, (2 2 0)
39.50°, rel. 68, (0 2 4)
39.78°, rel. 66, (2 0 4)
29.63°, rel. 55, (0 2 0)
29.98°, rel. 53, (2 0 0)
38.68°, rel. 47, (0 0 6)
25.53°, rel. 43, (0 0 4)
58.95°, rel. 37, (2 2 6)
21.91°, rel. 36, (1 1 1)

Crystal structure
abc: 5.9607 6.0308 13.9560
angles: 90.00 90.00 90.00
Space group Fmmm (No. 69)
Inequivalent atoms, fractional coordinates:
1 Ti 0.2500 0.2500 0.0000 x8
2 Zn 0.0000 0.0000 0.1289 x8
3 Bi 0.0000 0.0000 0.3437 x8


This entry pairs a crystal structure of LaTbDy3Tm with its calculated XRD peak list. Radiation: Cu Kα (λ = 1.5418 Å). Structure: a crystal structure in Alexandria, relaxed with PBE.
Lines closer than 0.1° are merged.

Peak list (10 most intense, 2θ from 5° to 70°, in order of falling intensity)
30.26°, rel. 100, (5 1 -1)
32.84°, rel. 62, (3 1 2)
31.82°, rel. 49, (0 2 0)
35.37°, rel. 25, (7 1 0)
31.03°, rel. 20, (4 0 -2)
55.72°, rel. 19, (5 3 -1)
45.04°, rel. 14, (4 2 -2)
57.34°, rel. 13, (3 3 2)
25.21°, rel. 12, (0 0 2)
38.36°, rel. 8, (8 0 1)

Crystal structure
abc: 19.9053 5.6250 7.0659
angles: 90.00 90.09 90.00
Space group C2/m (No. 12)
Inequivalent atoms, fractional coordinates:
1 La 0.1422 0.0000 0.0279 x4
2 Tb 0.1503 0.0000 0.4555 x4
3 Dy 0.0231 0.0000 0.7287 x4
4 Dy 0.1628 0.5000 0.7234 x4
5 Dy 0.2212 0.5000 0.2387 x4
6 Tm 0.0565 0.5000 0.2905 x4


This entry pairs a crystal structure of Ho6TmCd with its calculated XRD peak list. Radiation: Cu Kα (λ = 1.5418 Å). Structure: a crystal structure in Alexandria, relaxed with PBE.
Lines closer than 0.1° are merged.

Peak list (10 most intense, 2θ from 5° to 70°, in order of falling intensity)
31.15°, rel. 100, (2 1 1)
34.92°, rel. 80, (3 -2 2)
33.29°, rel. 48, (1 1 3)
28.76°, rel. 34, (2 0 2)
52.90°, rel. 23, (1 4 0)
33.91°, rel. 23, (3 0 0)
37.80°, rel. 19, (1 0 4)
26.80°, rel. 19, (0 0 3)
59.09°, rel. 17, (2 -1 6)
51.02°, rel. 15, (3 2 1)

Crystal structure
abc: 9.1579 9.1579 9.9802
angles: 90.00 90.00 120.00
Space group R-3 (No. 148, hexagonal axes)
Inequivalent atoms, fractional coordinates:
1 Ho 0.0245 0.2573 0.2178 x18
2 Tm 0.0000 0.0000 0.5000 x3
3 Cd 0.0000 0.0000 0.0000 x3


This entry pairs a crystal structure of AcCeBiO5 with its calculated XRD peak list. Radiation: Cu Kα (λ = 1.5418 Å). Structure: a crystal structure in Alexandria, relaxed with PBE.
Lines closer than 0.1° are merged.

Peak list (10 most intense, 2θ from 5° to 70°, in order of falling intensity)
30.06°, rel. 100, (1 3 -1)
25.06°, rel. 60, (2 0 -2)
22.12°, rel. 47, (1 1 1)
29.90°, rel. 38, (2 2 0)
51.47°, rel. 21, (4 0 -4)
40.99°, rel. 21, (2 0 2)
47.35°, rel. 20, (3 3 -3)
23.64°, rel. 19, (2 0 0)
50.85°, rel. 19, (1 5 1)
47.12°, rel. 16, (4 2 -2)

Crystal structure
abc: 8.4062 9.8329 8.3172
angles: 90.00 116.43 90.00
Space group C2/c (No. 15)
Inequivalent atoms, fractional coordinates:
1 Ac 0.0000 0.0622 0.2500 x4
2 Ce 0.2500 0.2500 0.0000 x4
3 Bi 0.0000 0.4504 0.2500 x4
4 O 0.0000 0.1994 0.7500 x4
5 O 0.0640 0.2893 0.1207 x8
6 O 0.2087 0.0254 0.0559 x8


This entry pairs a crystal structure of AcTb8Pr5 with its calculated XRD peak list. Radiation: Cu Kα (λ = 1.5418 Å). Structure: a crystal structure in Alexandria, relaxed with PBE.
Lines closer than 0.1° are merged.

Peak list (10 most intense, 2θ from 5° to 70°, in order of falling intensity)
30.59°, rel. 100, (6 0 -2)
30.88°, rel. 47, (2 0 4)
32.29°, rel. 47, (3 1 1)
32.05°, rel. 44, (4 0 -6)
29.43°, rel. 39, (1 1 -3)
47.16°, rel. 20, (1 1 -7)
56.53°, rel. 18, (2 0 -10)
60.27°, rel. 15, (6 2 -2)
61.14°, rel. 14, (4 2 -6)
60.44°, rel. 14, (2 2 4)

Crystal structure
abc: 17.7231 3.6092 17.0659
angles: 90.00 118.18 90.00
Space group Cm (No. 8)
Inequivalent atoms, fractional coordinates:
1 Ac 0.0000 0.0000 0.0000 x2
2 Tb 0.0792 0.0000 0.7215 x2
3 Tb 0.0795 0.5000 0.2259 x2
4 Tb 0.1478 0.5000 0.9381 x2
5 Tb 0.2157 0.5000 0.6454 x2
6 Tb 0.2837 0.0000 0.3547 x2
7 Tb 0.3522 0.0000 0.0620 x2
8 Tb 0.4202 0.0000 0.7743 x2
9 Tb 0.4204 0.5000 0.2786 x2
10 Pr 0.9996 0.5000 0.5001 x2
11 Pr 0.1445 0.0000 0.4407 x2
12 Pr 0.2174 0.0000 0.1465 x2
13 Pr 0.2825 0.5000 0.8536 x2
14 Pr 0.3547 0.5000 0.5594 x2